This entry pairs a crystal structure of NaAlMo2O8 with its simulated powder X-ray diffraction pattern. Radiation: Cu Kα (weighted mean of Kα1 and Kα2). Structure: a structure optimized by DFT (GGA+U).
Kinematic intensities with the Lorentz-polarization factor, no thermal factor.

Largest 12 diffraction maxima, low angle first, 2θ = 10–90°:
Position (°2θ)  intensity
12.86  7
22.26  21
22.39  30
22.97  100
25.89  9
31.90  8
32.22  49
33.60  11
39.24  7
40.70  8
57.01  7
59.22  7

Crystal structure
a = 5.564 Å, b = 5.564 Å, c = 13.766 Å
α = 90.30°, β = 90.30°, γ = 57.29°
Atoms (fractional coordinates):
Na 0.068 0.932 0.750
Na 0.932 0.068 0.250
Al 0.000 0.000 0.000
Al 0.000 0.000 0.500
Mo 0.297 0.361 0.116
Mo 0.361 0.297 0.616
Mo 0.639 0.703 0.384
Mo 0.703 0.639 0.884
O 0.065 0.239 0.079
O 0.104 0.751 0.110
O 0.204 0.609 0.541
O 0.239 0.065 0.579
O 0.249 0.896 0.390
O 0.252 0.417 0.735
O 0.391 0.796 0.959
O 0.417 0.252 0.235
O 0.583 0.748 0.765
O 0.609 0.204 0.041
O 0.748 0.583 0.265
O 0.751 0.104 0.610
O 0.761 0.935 0.421
O 0.796 0.391 0.459
O 0.896 0.249 0.890
O 0.935 0.761 0.921